# Mg6FeNi
Calculated X-ray diffraction stick pattern, Cu Kα X-rays. Input: a structure optimized by DFT (GGA-PBE).
No peak broadening, texture or thermal motion is included.

Structure:
```
Mg6FeNi
1.0
4.614 0.000 0.000
0.000 3.022 5.045
0.000 -3.022 5.045
Mg Fe Ni
6 1 1
Direct
0.000 0.000 0.000
0.000 0.479 0.985
0.000 0.500 0.500
0.000 0.985 0.479
0.500 0.157 0.659
0.500 0.659 0.157
0.500 0.156 0.156
0.500 0.656 0.656
```

Main lines, by angle (5 to 70 degrees two-theta):
17.58 deg, I = 24; 19.24 deg, I = 15; 26.17 deg, I = 11; 34.60 deg, I = 30; 35.56 deg, I = 20; 39.04 deg, I = 35; 39.89 deg, I = 100; 40.77 deg, I = 47; 53.14 deg, I = 17; 63.28 deg, I = 16


# Mg14FeNi
Calculated X-ray diffraction stick pattern, Cu Kα X-rays. Input: a structure optimized by DFT (GGA-PBE).
No peak broadening, texture or thermal motion is included.

Structure:
```
Mg14FeNi
1.0
9.718 0.000 0.000
0.000 3.169 5.408
0.000 -3.169 5.408
Mg Fe Ni
14 1 1
Direct
0.000 0.000 0.000
0.000 0.005 0.505
0.000 0.499 0.499
0.000 0.505 0.005
0.251 0.669 0.669
0.252 0.170 0.170
0.285 0.177 0.683
0.285 0.683 0.177
0.500 0.477 0.978
0.500 0.978 0.477
0.715 0.177 0.683
0.715 0.683 0.177
0.748 0.170 0.170
0.749 0.669 0.669
0.500 0.513 0.513
0.500 0.018 0.018
```

Main lines, by angle (5 to 70 degrees two-theta):
9.10 deg, I = 40; 18.78 deg, I = 14; 32.76 deg, I = 24; 33.13 deg, I = 14; 37.00 deg, I = 31; 37.76 deg, I = 100; 38.09 deg, I = 42; 50.24 deg, I = 13; 58.95 deg, I = 15; 67.18 deg, I = 12